1.
The following is a computed powder diffractogram of PrNpPaO6. It was derived from a cell relaxed with GGA-PBE, using Cu Kα (weighted mean of Kα1 and Kα2).

Peak list (10 most intense, 2θ = 10–80°, most intense first)
25.59 deg, 3.480 Å, rel. 100; 30.40 deg, 2.940 Å, rel. 56; 49.21 deg, 1.852 Å, rel. 41; 51.18 deg, 1.785 Å, rel. 32; 40.15 deg, 2.246 Å, rel. 31; 54.02 deg, 1.698 Å, rel. 17; 69.39 deg, 1.354 Å, rel. 13; 76.06 deg, 1.251 Å, rel. 11; 67.77 deg, 1.383 Å, rel. 11; 77.96 deg, 1.225 Å, rel. 9

Cell and atoms:
Cell lengths 5.8807, 5.8807, 4.7674 Å; angles 90.00, 90.00, 120.00 degrees
Atoms (fractional coordinates):
Pr (0.0000, 0.0000, 0.0000)
Np (0.3333, 0.6667, 0.0000)
Pa (0.6667, 0.3333, 0.5000)
O (0.3607, 0.0054, 0.2462)
O (0.3607, 0.3552, 0.7538)
O (0.6448, 0.0054, 0.7538)
O (0.6448, 0.6393, 0.2462)
O (0.9946, 0.3552, 0.2462)
O (0.9946, 0.6393, 0.7538)



2.
The following is a computed powder diffractogram of TlH8Ru2. It was derived from a cell relaxed with GGA-PBE, using Cu Kα (weighted mean of Kα1 and Kα2).

Peak list (10 most intense, 2θ = 10–80°, most intense first)
26.42 deg, 3.373 Å, rel. 100; 37.72 deg, 2.385 Å, rel. 41; 49.32 deg, 1.848 Å, rel. 32; 46.64 deg, 1.947 Å, rel. 22; 61.48 deg, 1.508 Å, rel. 20; 30.59 deg, 2.922 Å, rel. 20; 76.47 deg, 1.246 Å, rel. 16; 51.89 deg, 1.762 Å, rel. 15; 68.09 deg, 1.377 Å, rel. 10; 78.51 deg, 1.218 Å, rel. 9

Cell and atoms:
Cell lengths 4.7694, 4.7694, 5.8448 Å; angles 90.00, 90.00, 120.00 degrees
Atoms (fractional coordinates):
Tl (0.0000, 0.0000, 0.0000)
H (0.0000, 0.3568, 0.3120)
H (0.0000, 0.6780, 0.5914)
H (0.3220, 0.3220, 0.5914)
H (0.3333, 0.6667, 0.7403)
H (0.3568, 0.0000, 0.3120)
H (0.6432, 0.6432, 0.3120)
H (0.6667, 0.3333, 0.7403)
H (0.6780, 0.0000, 0.5914)
Ru (0.3333, 0.6667, 0.4696)
Ru (0.6667, 0.3333, 0.4696)



3.
The following is a computed powder diffractogram of SrY3In2. It was derived from a cell relaxed with GGA-PBE, using Cu Kα (weighted mean of Kα1 and Kα2).

Peak list (10 most intense, 2θ = 10–80°, most intense first)
32.58 deg, 2.748 Å, rel. 100; 31.80 deg, 2.814 Å, rel. 91; 32.92 deg, 2.721 Å, rel. 52; 31.68 deg, 2.824 Å, rel. 44; 46.34 deg, 1.959 Å, rel. 30; 62.94 deg, 1.477 Å, rel. 22; 58.56 deg, 1.576 Å, rel. 18; 57.73 deg, 1.597 Å, rel. 17; 41.78 deg, 2.162 Å, rel. 16; 58.08 deg, 1.588 Å, rel. 16

Cell and atoms:
Cell lengths 5.4419, 9.5532, 7.0032 Å; angles 90.00, 90.00, 90.00 degrees
Atoms (fractional coordinates):
Sr (0.0000, 0.0227, 0.0000)
Sr (0.0000, 0.9773, 0.5000)
Y (0.0000, 0.3361, 0.7092)
Y (0.0000, 0.6639, 0.2092)
Y (0.5000, 0.1770, 0.2772)
Y (0.5000, 0.4794, 0.9858)
Y (0.5000, 0.5206, 0.4858)
Y (0.5000, 0.8230, 0.7772)
In (0.0000, 0.3424, 0.2368)
In (0.0000, 0.6576, 0.7368)
In (0.5000, 0.1700, 0.7503)
In (0.5000, 0.8300, 0.2503)



4.
The following is a computed powder diffractogram of Ni3Pd3Se8. It was derived from a cell relaxed with GGA-PBE, using Cu Kα (weighted mean of Kα1 and Kα2).

Peak list (10 most intense, 2θ = 10–80°, most intense first)
50.02 deg, 1.823 Å, rel. 100; 34.79 deg, 2.579 Å, rel. 87; 28.71 deg, 3.110 Å, rel. 59; 45.70 deg, 1.985 Å, rel. 30; 14.87 deg, 5.956 Å, rel. 22; 73.44 deg, 1.289 Å, rel. 15; 62.40 deg, 1.488 Å, rel. 15; 30.01 deg, 2.978 Å, rel. 13; 24.40 deg, 3.648 Å, rel. 11; 70.02 deg, 1.344 Å, rel. 6

Cell and atoms:
Cell lengths 7.2989, 7.2989, 7.2989 Å; angles 59.91, 59.91, 59.91 degrees
Atoms (fractional coordinates):
Ni (0.0000, 0.0000, 0.0000)
Ni (0.3754, 0.3754, 0.3754)
Ni (0.6246, 0.6246, 0.6246)
Pd (0.0000, 0.0000, 0.5000)
Pd (0.0000, 0.5000, 0.0000)
Pd (0.5000, 0.0000, 0.0000)
Se (0.2328, 0.7623, 0.7623)
Se (0.2377, 0.2377, 0.7672)
Se (0.2377, 0.7672, 0.2377)
Se (0.2459, 0.2459, 0.2459)
Se (0.7541, 0.7541, 0.7541)
Se (0.7623, 0.2328, 0.7623)
Se (0.7623, 0.7623, 0.2328)
Se (0.7672, 0.2377, 0.2377)



5.
The following is a computed powder diffractogram of Li4Cd2Rh. It was derived from a cell relaxed with GGA-PBE, using Cu Kα (weighted mean of Kα1 and Kα2).

Peak list (10 most intense, 2θ = 10–80°, most intense first)
39.32 deg, 2.291 Å, rel. 100; 21.96 deg, 4.047 Å, rel. 92; 32.21 deg, 2.779 Å, rel. 71; 19.37 deg, 4.582 Å, rel. 56; 56.23 deg, 1.636 Å, rel. 28; 51.25 deg, 1.783 Å, rel. 19; 52.16 deg, 1.754 Å, rel. 18; 44.79 deg, 2.024 Å, rel. 17; 45.69 deg, 1.986 Å, rel. 16; 46.68 deg, 1.946 Å, rel. 15

Cell and atoms:
Cell lengths 5.6703, 5.6145, 5.5601 Å; angles 60.98, 59.98, 59.04 degrees
Atoms (fractional coordinates):
Li (0.2028, 0.7972, 0.2028)
Li (0.2763, 0.6823, 0.7237)
Li (0.6823, 0.2763, 0.3177)
Li (0.7972, 0.2028, 0.7972)
Cd (0.2403, 0.2403, 0.2597)
Cd (0.7403, 0.7403, 0.7597)
Rh (0.7408, 0.7408, 0.2592)



6.
The following is a computed powder diffractogram of PrTmTh2As4. It was derived from a cell relaxed with GGA-PBE, using Cu Kα (weighted mean of Kα1 and Kα2).

Peak list (10 most intense, 2θ = 10–80°, most intense first)
29.93 deg, 2.986 Å, rel. 100; 42.72 deg, 2.117 Å, rel. 38; 42.95 deg, 2.106 Å, rel. 38; 25.80 deg, 3.453 Å, rel. 25; 53.04 deg, 1.727 Å, rel. 20; 70.37 deg, 1.338 Å, rel. 17; 70.70 deg, 1.332 Å, rel. 17; 78.39 deg, 1.220 Å, rel. 13; 62.19 deg, 1.493 Å, rel. 13; 25.98 deg, 3.430 Å, rel. 8

Cell and atoms:
Cell lengths 7.2839, 4.2325, 7.3332 Å; angles 90.00, 109.65, 90.00 degrees
Atoms (fractional coordinates):
Pr (0.0000, 0.0000, 0.0000)
Tm (0.0000, 0.5000, 0.5000)
Th (0.5000, 0.0000, 0.5000)
Th (0.5000, 0.5000, 0.0000)
As (0.2442, 0.0000, 0.7415)
As (0.2495, 0.5000, 0.2564)
As (0.7505, 0.5000, 0.7436)
As (0.7558, 0.0000, 0.2585)



7.
The following is a computed powder diffractogram of SrGd2Y. It was derived from a cell relaxed with GGA-PBE, using Cu Kα (weighted mean of Kα1 and Kα2).

Peak list (10 most intense, 2θ = 10–80°, most intense first)
29.47 deg, 3.031 Å, rel. 100; 49.07 deg, 1.856 Å, rel. 36; 34.20 deg, 2.622 Å, rel. 34; 58.34 deg, 1.582 Å, rel. 29; 34.07 deg, 2.632 Å, rel. 17; 58.17 deg, 1.586 Å, rel. 14; 61.14 deg, 1.516 Å, rel. 12; 79.53 deg, 1.205 Å, rel. 12; 16.84 deg, 5.264 Å, rel. 7; 79.68 deg, 1.203 Å, rel. 6

Cell and atoms:
Cell lengths 5.2441, 5.2441, 5.2636 Å; angles 90.00, 90.00, 90.00 degrees
Atoms (fractional coordinates):
Sr (0.0000, 0.0000, 0.0000)
Gd (0.0000, 0.5000, 0.5000)
Gd (0.5000, 0.0000, 0.5000)
Y (0.5000, 0.5000, 0.0000)



8.
The following is a computed powder diffractogram of Li2LaNb6O18. It was derived from a cell relaxed with GGA-PBE, using Cu Kα (weighted mean of Kα1 and Kα2).

Peak list (10 most intense, 2θ = 10–80°, most intense first)
31.71 deg, 2.822 Å, rel. 100; 31.83 deg, 2.811 Å, rel. 49; 22.31 deg, 3.985 Å, rel. 48; 22.42 deg, 3.966 Å, rel. 47; 22.19 deg, 4.007 Å, rel. 47; 45.76 deg, 1.983 Å, rel. 26; 45.52 deg, 1.993 Å, rel. 23; 45.26 deg, 2.003 Å, rel. 23; 56.40 deg, 1.631 Å, rel. 21; 56.57 deg, 1.627 Å, rel. 20

Cell and atoms:
Cell lengths 3.9657, 8.0135, 11.9558 Å; angles 90.00, 90.00, 90.00 degrees
Atoms (fractional coordinates):
Li (0.0000, 0.0000, 0.1080)
Li (0.0000, 0.0000, 0.8920)
La (0.0000, 0.0000, 0.5000)
Nb (0.5000, 0.2566, 0.0000)
Nb (0.5000, 0.2581, 0.3283)
Nb (0.5000, 0.2581, 0.6717)
Nb (0.5000, 0.7419, 0.3283)
Nb (0.5000, 0.7419, 0.6717)
Nb (0.5000, 0.7434, 0.0000)
O (0.0000, 0.2199, 0.0000)
O (0.0000, 0.2309, 0.3425)
O (0.0000, 0.2309, 0.6575)
O (0.0000, 0.7691, 0.3425)
O (0.0000, 0.7691, 0.6575)
O (0.0000, 0.7801, 0.0000)
O (0.5000, 0.0000, 0.0000)
O (0.5000, 0.0000, 0.3484)
O (0.5000, 0.0000, 0.6516)
O (0.5000, 0.2306, 0.5000)
O (0.5000, 0.2346, 0.1670)
O (0.5000, 0.2346, 0.8330)
O (0.5000, 0.5000, 0.0000)
O (0.5000, 0.5000, 0.3346)
O (0.5000, 0.5000, 0.6654)
O (0.5000, 0.7654, 0.1670)
O (0.5000, 0.7654, 0.8330)
O (0.5000, 0.7694, 0.5000)



9.
The following is a computed powder diffractogram of Sn2Pd13. It was derived from a cell relaxed with GGA-PBE, using Cu Kα (weighted mean of Kα1 and Kα2).

Peak list (10 most intense, 2θ = 10–80°, most intense first)
39.03 deg, 2.308 Å, rel. 100; 45.25 deg, 2.004 Å, rel. 44; 39.18 deg, 2.299 Å, rel. 33; 45.77 deg, 1.982 Å, rel. 21; 66.26 deg, 1.411 Å, rel. 14; 66.40 deg, 1.408 Å, rel. 14; 79.23 deg, 1.209 Å, rel. 12; 79.37 deg, 1.207 Å, rel. 8; 79.49 deg, 1.206 Å, rel. 8; 65.75 deg, 1.420 Å, rel. 7

Cell and atoms:
Cell lengths 4.8757, 6.3236, 8.4516 Å; angles 102.45, 106.33, 97.76 degrees
Atoms (fractional coordinates):
Sn (0.1978, 0.4008, 0.2654)
Sn (0.8022, 0.5992, 0.7346)
Pd (0.0000, 0.0000, 0.0000)
Pd (0.9999, 0.0000, 0.3322)
Pd (0.0001, 0.0000, 0.6678)
Pd (0.2015, 0.3962, 0.5985)
Pd (0.2020, 0.3992, 0.9336)
Pd (0.3988, 0.7994, 0.1998)
Pd (0.3994, 0.8008, 0.8669)
Pd (0.3996, 0.8028, 0.5349)
Pd (0.6004, 0.1972, 0.4651)
Pd (0.6006, 0.1992, 0.1331)
Pd (0.6012, 0.2006, 0.8002)
Pd (0.7980, 0.6008, 0.0664)
Pd (0.7985, 0.6038, 0.4015)



10.
The following is a computed powder diffractogram of Li2LaTm2Ga2. It was derived from a cell relaxed with GGA-PBE, using Cu Kα (weighted mean of Kα1 and Kα2).

Peak list (10 most intense, 2θ = 10–80°, most intense first)
22.19 deg, 4.006 Å, rel. 100; 35.14 deg, 2.553 Å, rel. 90; 38.47 deg, 2.340 Å, rel. 76; 32.49 deg, 2.756 Å, rel. 60; 53.09 deg, 1.725 Å, rel. 28; 67.45 deg, 1.389 Å, rel. 27; 66.65 deg, 1.403 Å, rel. 19; 10.09 deg, 8.769 Å, rel. 18; 51.22 deg, 1.784 Å, rel. 17; 60.80 deg, 1.524 Å, rel. 16

Cell and atoms:
Cell lengths 9.1755, 9.1755, 9.1755 Å; angles 29.55, 29.55, 29.55 degrees
Atoms (fractional coordinates):
Li (0.0880, 0.0880, 0.0880)
Li (0.9120, 0.9120, 0.9120)
La (0.5000, 0.5000, 0.5000)
Tm (0.3705, 0.3705, 0.3705)
Tm (0.6295, 0.6295, 0.6295)
Ga (0.2466, 0.2466, 0.2466)
Ga (0.7534, 0.7534, 0.7534)



11.
The following is a computed powder diffractogram of ErPaZn17. It was derived from a cell relaxed with GGA-PBE, using Cu Kα (weighted mean of Kα1 and Kα2).

Peak list (10 most intense, 2θ = 10–80°, most intense first)
40.49 deg, 2.228 Å, rel. 100; 40.23 deg, 2.242 Å, rel. 59; 41.26 deg, 2.188 Å, rel. 46; 34.65 deg, 2.589 Å, rel. 42; 28.50 deg, 3.132 Å, rel. 37; 35.82 deg, 2.507 Å, rel. 26; 58.99 deg, 1.566 Å, rel. 23; 74.69 deg, 1.271 Å, rel. 21; 58.39 deg, 1.580 Å, rel. 20; 41.51 deg, 2.175 Å, rel. 19

Cell and atoms:
Cell lengths 6.7792, 6.7792, 6.7792 Å; angles 82.81, 82.81, 82.81 degrees
Atoms (fractional coordinates):
Er (0.0000, 0.0000, 0.0000)
Pa (0.6730, 0.6730, 0.6730)
Zn (0.0398, 0.3358, 0.6343)
Zn (0.0398, 0.6343, 0.3358)
Zn (0.1761, 0.6891, 0.6891)
Zn (0.2363, 0.2363, 0.2363)
Zn (0.3358, 0.0398, 0.6343)
Zn (0.3358, 0.6343, 0.0398)
Zn (0.3384, 0.3384, 0.8355)
Zn (0.3384, 0.8355, 0.3384)
Zn (0.4367, 0.4367, 0.4367)
Zn (0.4993, 0.9825, 0.9825)
Zn (0.6343, 0.0398, 0.3358)
Zn (0.6343, 0.3358, 0.0398)
Zn (0.6891, 0.1761, 0.6891)
Zn (0.6891, 0.6891, 0.1761)
Zn (0.8355, 0.3384, 0.3384)
Zn (0.9825, 0.4993, 0.9825)
Zn (0.9825, 0.9825, 0.4993)



12.
The following is a computed powder diffractogram of Ac5Sb2Se4. It was derived from a cell relaxed with GGA-PBE, using Cu Kα (weighted mean of Kα1 and Kα2).

Peak list (10 most intense, 2θ = 10–80°, most intense first)
36.22 deg, 2.480 Å, rel. 100; 38.43 deg, 2.342 Å, rel. 74; 23.73 deg, 3.750 Å, rel. 65; 26.16 deg, 3.406 Å, rel. 52; 29.08 deg, 3.071 Å, rel. 45; 23.05 deg, 3.859 Å, rel. 36; 20.73 deg, 4.285 Å, rel. 35; 42.61 deg, 2.122 Å, rel. 32; 66.62 deg, 1.404 Å, rel. 30; 21.69 deg, 4.098 Å, rel. 30

Cell and atoms:
Cell lengths 20.6888, 20.6888, 20.6888 Å; angles 13.77, 13.77, 13.77 degrees
Atoms (fractional coordinates):
Ac (0.0000, 0.0000, 0.0000)
Ac (0.1339, 0.1339, 0.1339)
Ac (0.2725, 0.2725, 0.2725)
Ac (0.7275, 0.7275, 0.7275)
Ac (0.8661, 0.8661, 0.8661)
Sb (0.3644, 0.3644, 0.3644)
Sb (0.6357, 0.6357, 0.6357)
Se (0.0853, 0.0853, 0.0853)
Se (0.1874, 0.1874, 0.1874)
Se (0.8126, 0.8126, 0.8126)
Se (0.9147, 0.9147, 0.9147)



Please write out number 6 again, unchanged.
The following is a computed powder diffractogram of PrTmTh2As4. It was derived from a cell relaxed with GGA-PBE, using Cu Kα (weighted mean of Kα1 and Kα2).

Peak list (10 most intense, 2θ = 10–80°, most intense first)
29.93 deg, 2.986 Å, rel. 100; 42.72 deg, 2.117 Å, rel. 38; 42.95 deg, 2.106 Å, rel. 38; 25.80 deg, 3.453 Å, rel. 25; 53.04 deg, 1.727 Å, rel. 20; 70.37 deg, 1.338 Å, rel. 17; 70.70 deg, 1.332 Å, rel. 17; 78.39 deg, 1.220 Å, rel. 13; 62.19 deg, 1.493 Å, rel. 13; 25.98 deg, 3.430 Å, rel. 8

Cell and atoms:
Cell lengths 7.2839, 4.2325, 7.3332 Å; angles 90.00, 109.65, 90.00 degrees
Atoms (fractional coordinates):
Pr (0.0000, 0.0000, 0.0000)
Tm (0.0000, 0.5000, 0.5000)
Th (0.5000, 0.0000, 0.5000)
Th (0.5000, 0.5000, 0.0000)
As (0.2442, 0.0000, 0.7415)
As (0.2495, 0.5000, 0.2564)
As (0.7505, 0.5000, 0.7436)
As (0.7558, 0.0000, 0.2585)